Theoretical PXRD pattern
Compound: CrOsAu
Radiation: Cu Kα, 1.54184 Å
Structure: DFT lattice parameters and positions (GGA-PBE)
Intensities are scaled so that the largest is 100.

Structural model:
Lattice parameters (Å, degrees): 2.842 3.601 8.822 90.00 90.00 90.00
Space group Imm2 (No. 44)
Inequivalent atoms, fractional coordinates:
Cr 0.000 0.000 0.000
Os 0.000 0.000 0.626
Au 0.000 0.000 0.316

The 6 most intense peaks (5 to 70 degrees two-theta), in order of falling intensity:
Position (°2θ), intensity, hkl
40.43, 100, 1 1 0
39.56, 98, 0 1 3
44.32, 71, 1 0 3
26.74, 41, 0 1 1
69.59, 37, 1 2 3
50.70, 26, 0 2 0

Theoretical PXRD pattern
Compound: Cr2SiPAu
Radiation: Cu Kα, 1.54184 Å
Structure: DFT lattice parameters and positions (GGA-PBE)
Intensities are scaled so that the largest is 100.

Structural model:
Lattice parameters (Å, degrees): 3.8922 3.8922 18.6058 90.00 90.00 120.00
Space group R3m (No. 160, hexagonal axes)
Inequivalent atoms, fractional coordinates:
Cr 0.0000 0.0000 0.0000
Cr 0.0000 0.0000 0.3756
Si 0.0000 0.0000 0.2522
P 0.0000 0.0000 0.7267
Au 0.0000 0.0000 0.8565

The 6 most intense peaks (5 to 70 degrees two-theta), in order of falling intensity:
Position (°2θ), intensity, hkl
28.16, 100, 0 1 2
26.88, 60, 1 0 1
46.67, 55, 1 1 0
47.50, 41, 0 1 8
28.79, 37, 0 0 6
55.77, 34, 1 1 6

Theoretical PXRD pattern
Compound: Cr2SiPAu
Radiation: Cu Kα, 1.54184 Å
Structure: DFT lattice parameters and positions (GGA-PBE)
Intensities are scaled so that the largest is 100.

Structural model:
Lattice parameters (Å, degrees): 3.9270 3.9270 16.2157 90.00 90.00 120.00
Space group R3m (No. 160, hexagonal axes)
Inequivalent atoms, fractional coordinates:
Cr 0.0000 0.0000 0.0000
Cr 0.0000 0.0000 0.2349
Si 0.0000 0.0000 0.8460
P 0.0000 0.0000 0.6561
Au 0.0000 0.0000 0.4448

The 6 most intense peaks (5 to 70 degrees two-theta), in order of falling intensity:
Position (°2θ), intensity, hkl
38.35, 100, 0 1 5
46.24, 75, 1 1 0
34.42, 74, 1 0 4
28.46, 64, 0 1 2
26.78, 52, 1 0 1
16.40, 34, 0 0 3